Diffraction record for SmSnS2O. The powder X-ray diffraction pattern is computed, not measured: it uses a PBE-relaxed structure and Cu Kα, 1.54184 Å.
Lines closer than 0.1° are merged.

Most intense lines, 2θ from 5° to 70°, in order of rising 2θ:
two_theta  intensity  (hkl)
6.27  39  0 0 1
25.25  31  0 0 4
26.22  100  1 0 2
29.87  31  1 0 3
32.66  76  1 1 0
39.50  27  1 0 5
41.73  44  1 1 4
46.86  33  2 0 0
53.97  16  2 0 4
54.49  29  2 1 2
56.69  20  1 1 7
67.01  17  2 0 7

Crystal structure
```
data_SmSnS2O
_space_group_name_H-M_alt 'P 4/n m m'
_space_group_IT_number 129
_cell_length_a 3.8779
_cell_length_b 3.8779
_cell_length_c 14.1061
_cell_angle_alpha 90.00
_cell_angle_beta 90.00
_cell_angle_gamma 90.00
loop_
_space_group_symop_operation_xyz
'x,y,z'
'-x,-y,-z'
'-y+1/2,x,z'
'y+1/2,-x,-z'
'-x+1/2,-y+1/2,z'
'x+1/2,y+1/2,-z'
'y,-x+1/2,z'
'-y,x+1/2,-z'
'x+1/2,-y,-z'
'-x+1/2,y,z'
'-y,-x,-z'
'y,x,z'
'-x,y+1/2,-z'
'x,-y+1/2,z'
'y+1/2,x+1/2,-z'
'-y+1/2,-x+1/2,z'
loop_
_atom_site_label
_atom_site_fract_x
_atom_site_fract_y
_atom_site_fract_z
Sm1 0.2500 0.2500 0.0867
Sn1 0.2500 0.2500 0.6352
S1 0.2500 0.2500 0.3986
S2 0.2500 0.2500 0.8081
O1 0.2500 0.7500 0.0000
```

Diffraction record for Tb4Pr2HoTm. The powder X-ray diffraction pattern is computed, not measured: it uses a PBE-relaxed structure and Cu Kα, 1.54184 Å.
Lines closer than 0.1° are merged.

Most intense lines, 2θ from 5° to 70°, in order of rising 2θ:
two_theta  intensity  (hkl)
10.01  1  1 1 0
26.87  45  0 4 0
30.18  100  0 0 2
40.84  88  0 4 2
53.61  20  4 0 -4
55.37  6  0 8 0
60.97  27  4 4 -4
62.72  4  8 0 0
62.78  8  0 0 4
64.36  22  0 8 2
69.53  18  0 4 4

Crystal structure
```
data_Tb4Pr2HoTm
_space_group_name_H-M_alt 'C 1 2/c 1'
_space_group_IT_number 15
_cell_length_a 13.6791
_cell_length_b 13.2742
_cell_length_c 6.8341
_cell_angle_alpha 90.00
_cell_angle_beta 119.97
_cell_angle_gamma 90.00
loop_
_space_group_symop_operation_xyz
'x,y,z'
'-x,-y,-z'
'-x,y,-z+1/2'
'x,-y,z+1/2'
'x+1/2,y+1/2,z'
'-x+1/2,-y+1/2,-z'
'-x+1/2,y+1/2,-z+1/2'
'x+1/2,-y+1/2,z+1/2'
loop_
_atom_site_label
_atom_site_fract_x
_atom_site_fract_y
_atom_site_fract_z
Tb1 0.0015 0.2435 0.0009
Tb2 0.2447 0.0022 0.9952
Pr1 0.0000 0.5000 0.0000
Pr2 0.2500 0.2500 0.5000
Ho1 0.2500 0.2500 0.0000
Tm1 0.0000 0.0000 0.0000
```

Diffraction record for TmCu9Si2. The powder X-ray diffraction pattern is computed, not measured: it uses a PBE-relaxed structure and Cu Kα, 1.54184 Å.
Lines closer than 0.1° are merged.

Most intense lines, 2θ from 5° to 70°, in order of rising 2θ:
two_theta  intensity  (hkl)
25.13  14  2 2 0
30.17  18  3 0 1
30.63  16  1 1 2
35.20  27  3 2 1
39.66  15  4 1 1
40.02  100  3 1 2
40.24  73  4 2 0
43.32  26  1 0 3
45.99  15  4 0 2
47.53  30  5 0 1
49.65  15  4 2 2
60.93  12  5 4 1

Crystal structure
```
data_TmCu9Si2
_space_group_name_H-M_alt 'I 41/a m d'
_space_group_IT_number 141
_cell_length_a 10.0219
_cell_length_b 10.0219
_cell_length_c 6.4061
_cell_angle_alpha 90.00
_cell_angle_beta 90.00
_cell_angle_gamma 90.00
loop_
_space_group_symop_operation_xyz
'x,y,z'
'-x,-y,-z'
'-y+1/4,x+3/4,z+1/4'
'y+1/4,-x+3/4,-z+1/4'
'-x+1/2,-y,z+1/2'
'x+1/2,y,-z+1/2'
'y+1/4,-x+1/4,z+3/4'
'-y+1/4,x+1/4,-z+3/4'
'x,-y,-z'
'-x,y,z'
'-y+1/4,-x+1/4,-z+3/4'
'y+1/4,x+1/4,z+3/4'
'-x+1/2,y,-z+1/2'
'x+1/2,-y,z+1/2'
'y+1/4,x+3/4,-z+1/4'
'-y+1/4,-x+3/4,z+1/4'
'x+1/2,y+1/2,z+1/2'
'-x+1/2,-y+1/2,-z+1/2'
'-y+3/4,x+1/4,z+3/4'
'y+3/4,-x+1/4,-z+3/4'
'-x,-y+1/2,z'
'x,y+1/2,-z'
'y+3/4,-x+3/4,z+1/4'
'-y+3/4,x+3/4,-z+1/4'
'x+1/2,-y+1/2,-z+1/2'
'-x+1/2,y+1/2,z+1/2'
'-y+3/4,-x+3/4,-z+1/4'
'y+3/4,x+3/4,z+1/4'
'-x,y+1/2,-z'
'x,-y+1/2,z'
'y+3/4,x+1/4,-z+3/4'
'-y+3/4,-x+1/4,z+3/4'
loop_
_atom_site_label
_atom_site_fract_x
_atom_site_fract_y
_atom_site_fract_z
Tm1 0.0000 0.2500 0.3750
Cu1 0.0000 0.2500 0.8750
Cu2 0.1219 0.0458 0.6838
Si1 0.0000 0.0000 0.0000
```

Diffraction record for TlCd2Pb7. The powder X-ray diffraction pattern is computed, not measured: it uses a PBE-relaxed structure and Cu Kα, 1.54184 Å.
Lines closer than 0.1° are merged.

Most intense lines, 2θ from 5° to 70°, in order of rising 2θ:
two_theta  intensity  (hkl)
25.44  12  1 1 0
26.37  11  1 1 2
27.52  10  0 0 8
28.99  17  1 1 4
32.93  100  1 1 6
36.29  47  2 0 0
46.14  11  2 0 8
51.01  7  2 0 10
52.26  17  2 2 0
56.19  12  1 1 14
56.53  12  2 0 12
63.17  35  3 1 6

Crystal structure
```
data_TlCd2Pb7
_space_group_name_H-M_alt 'I 4/m m m'
_space_group_IT_number 139
_space_group_name_Hall '-I 4 2'
_cell_length_a 4.9512
_cell_length_b 4.9512
_cell_length_c 25.9279
_cell_angle_alpha 90.00
_cell_angle_beta 90.00
_cell_angle_gamma 90.00
loop_
_atom_site_label
_atom_site_fract_x
_atom_site_fract_y
_atom_site_fract_z
Tl1 0.0000 0.0000 0.0000
Cd1 0.0000 0.0000 0.3228
Pb1 0.0000 0.0000 0.5000
Pb2 0.0000 0.5000 0.1000
Pb3 0.0000 0.5000 0.2500
```

Diffraction record for La4CuRu2. The powder X-ray diffraction pattern is computed, not measured: it uses a PBE-relaxed structure and Cu Kα, 1.54184 Å.
Lines closer than 0.1° are merged.

Most intense lines, 2θ from 5° to 70°, in order of rising 2θ:
two_theta  intensity  (hkl)
12.08  23  0 0 1
25.92  40  2 2 0
31.31  68  4 0 0
31.59  92  2 2 -2
32.07  100  0 2 2
37.78  23  4 2 0
38.41  53  4 2 -2
39.66  56  2 2 2
41.99  41  0 4 0
46.26  32  2 0 -4
53.30  28  4 4 0
64.24  22  2 4 -4

Crystal structure
```
data_La4CuRu2
_space_group_name_H-M_alt 'C 1 m 1'
_space_group_IT_number 8
_cell_length_a 12.2534
_cell_length_b 8.6066
_cell_length_c 7.8568
_cell_angle_alpha 90.00
_cell_angle_beta 111.17
_cell_angle_gamma 90.00
loop_
_space_group_symop_operation_xyz
'x,y,z'
'x,-y,z'
'x+1/2,y+1/2,z'
'x+1/2,-y+1/2,z'
loop_
_atom_site_label
_atom_site_fract_x
_atom_site_fract_y
_atom_site_fract_z
La1 0.0000 0.0000 0.0000
La2 0.0008 0.5000 0.0039
La3 0.0037 0.0000 0.4812
La4 0.2235 0.2371 0.3605
La5 0.2386 0.2277 0.8654
La6 0.4860 0.0000 0.4682
Cu1 0.2825 0.5000 0.6399
Cu2 0.2903 0.5000 0.1354
Ru1 0.2593 0.0000 0.1236
Ru2 0.2836 0.0000 0.6391
Ru3 0.4513 0.2498 0.2171
```

Diffraction record for Er2Cd3Pb3. The powder X-ray diffraction pattern is computed, not measured: it uses a PBE-relaxed structure and Cu Kα, 1.54184 Å.
Lines closer than 0.1° are merged.

Most intense lines, 2θ from 5° to 70°, in order of rising 2θ:
two_theta  intensity  (hkl)
18.22  2  0 1 0
33.11  100  1 1 2
36.92  19  0 2 0
38.66  17  2 0 0
39.65  15  0 0 4
54.52  12  2 2 0
55.29  12  0 2 4
56.58  11  2 0 4
64.11  15  1 3 2
66.46  13  3 1 2
67.82  12  1 1 6
69.49  12  2 2 4

Crystal structure
```
data_Er2Cd3Pb3
_space_group_name_H-M_alt 'P m m m'
_space_group_IT_number 47
_cell_length_a 4.6582
_cell_length_b 4.8698
_cell_length_c 9.0925
_cell_angle_alpha 90.00
_cell_angle_beta 90.00
_cell_angle_gamma 90.00
loop_
_space_group_symop_operation_xyz
'x,y,z'
'-x,-y,-z'
'-x,-y,z'
'x,y,-z'
'x,-y,-z'
'-x,y,z'
'-x,y,-z'
'x,-y,z'
loop_
_atom_site_label
_atom_site_fract_x
_atom_site_fract_y
_atom_site_fract_z
Er1 0.0000 0.0000 0.2500
Cd1 0.0000 0.5000 0.0000
Cd2 0.5000 0.5000 0.2371
Pb1 0.0000 0.5000 0.5000
Pb2 0.5000 0.0000 0.0000
Pb3 0.5000 0.0000 0.5000
```

Diffraction record for KAg5Br8. The powder X-ray diffraction pattern is computed, not measured: it uses a PBE-relaxed structure and Cu Kα, 1.54184 Å.
Lines closer than 0.1° are merged.

Most intense lines, 2θ from 5° to 70°, in order of rising 2θ:
two_theta  intensity  (hkl)
12.75  41  1 1 1
20.90  15  2 2 0
24.56  60  3 1 1
29.73  82  4 0 0
38.93  51  5 1 1
42.54  100  4 4 0
44.59  12  5 3 1
52.76  18  4 4 4
59.02  13  5 5 3
61.73  14  8 0 0
67.47  11  5 5 5
70.00  18  8 4 0

Crystal structure
```
data_KAg5Br8
_space_group_name_H-M_alt 'F -4 3 m'
_space_group_IT_number 216
_space_group_name_Hall 'F -4 2 3'
_cell_length_a 12.0217
_cell_length_b 12.0217
_cell_length_c 12.0217
_cell_angle_alpha 90.00
_cell_angle_beta 90.00
_cell_angle_gamma 90.00
loop_
_atom_site_label
_atom_site_fract_x
_atom_site_fract_y
_atom_site_fract_z
K1 0.0000 0.0000 0.0000
Ag1 0.1237 0.1237 0.3763
Ag2 0.2500 0.2500 0.7500
Br1 0.1164 0.1164 0.6164
Br2 0.1435 0.1435 0.1435
```

Diffraction record for HgIrRh2. The powder X-ray diffraction pattern is computed, not measured: it uses a PBE-relaxed structure and Cu Kα, 1.54184 Å.
Lines closer than 0.1° are merged.

Most intense lines, 2θ from 5° to 70°, in order of rising 2θ:
two_theta  intensity  (hkl)
22.73  8  0 0 2
31.57  8  1 1 0
39.25  100  1 1 2
45.25  33  2 0 0
46.42  16  0 0 4
51.22  4  2 0 2
57.22  3  1 1 4
65.92  11  2 2 0
66.84  21  2 0 4

Crystal structure
```
data_HgIrRh2
_space_group_name_H-M_alt 'I 4/m m m'
_space_group_IT_number 139
_space_group_name_Hall '-I 4 2'
_cell_length_a 4.0077
_cell_length_b 4.0077
_cell_length_c 7.8247
_cell_angle_alpha 90.00
_cell_angle_beta 90.00
_cell_angle_gamma 90.00
loop_
_atom_site_label
_atom_site_fract_x
_atom_site_fract_y
_atom_site_fract_z
Hg1 0.0000 0.0000 0.0000
Ir1 0.0000 0.0000 0.5000
Rh1 0.0000 0.5000 0.2500
```

Diffraction record for Na3SiAs. The powder X-ray diffraction pattern is computed, not measured: it uses a PBE-relaxed structure and Cu Kα, 1.54184 Å.
Lines closer than 0.1° are merged.

Most intense lines, 2θ from 5° to 70°, in order of rising 2θ:
two_theta  intensity  (hkl)
17.79  59  2 0 0
18.00  45  0 1 1
25.41  39  2 1 1
27.23  19  1 2 1
27.67  41  2 2 0
33.04  33  1 3 0
34.61  100  2 0 2
36.03  44  4 0 0
36.45  20  0 2 2
42.04  23  3 3 0
44.83  33  1 3 2
52.17  27  3 3 2

Crystal structure
```
data_Na3SiAs
_space_group_name_H-M_alt 'I m a 2'
_space_group_IT_number 46
_cell_length_a 9.9715
_cell_length_b 8.4525
_cell_length_c 6.0680
_cell_angle_alpha 90.00
_cell_angle_beta 90.00
_cell_angle_gamma 90.00
loop_
_space_group_symop_operation_xyz
'x,y,z'
'-x,-y,z'
'-x+1/2,y,z'
'x+1/2,-y,z'
'x+1/2,y+1/2,z+1/2'
'-x+1/2,-y+1/2,z+1/2'
'-x,y+1/2,z+1/2'
'x,-y+1/2,z+1/2'
loop_
_atom_site_label
_atom_site_fract_x
_atom_site_fract_y
_atom_site_fract_z
Na1 0.0135 0.2485 0.0000
Na2 0.2500 0.0283 0.7483
Si1 0.2500 0.6884 0.7505
As1 0.2500 0.0889 0.2490
```

Diffraction record for SrAl6Cu3. The powder X-ray diffraction pattern is computed, not measured: it uses a PBE-relaxed structure and Cu Kα, 1.54184 Å.
Lines closer than 0.1° are merged.

Most intense lines, 2θ from 5° to 70°, in order of rising 2θ:
two_theta  intensity  (hkl)
23.87  64  0 1 1
25.23  27  1 1 -1
28.03  30  3 0 0
31.12  33  2 1 1
31.57  31  2 0 -3
35.63  33  0 1 3
37.23  31  3 0 -3
38.02  100  3 1 1
43.65  88  0 1 4
44.07  23  4 1 -1
44.86  58  0 2 0
49.93  22  3 1 -4

Crystal structure
```
data_SrAl6Cu3
_space_group_name_H-M_alt 'P 1 21/m 1'
_space_group_IT_number 11
_cell_length_a 9.6200
_cell_length_b 4.0411
_cell_length_c 9.7364
_cell_angle_alpha 90.00
_cell_angle_beta 96.95
_cell_angle_gamma 90.00
loop_
_space_group_symop_operation_xyz
'x,y,z'
'-x,-y,-z'
'-x,y+1/2,-z'
'x,-y+1/2,z'
loop_
_atom_site_label
_atom_site_fract_x
_atom_site_fract_y
_atom_site_fract_z
Sr1 0.0438 0.2500 0.2125
Al1 0.1323 0.7500 0.4812
Al2 0.1845 0.2500 0.9312
Al3 0.2004 0.2500 0.6575
Al4 0.3882 0.2500 0.1933
Al5 0.4276 0.7500 0.5630
Al6 0.4460 0.2500 0.8921
Cu1 0.3035 0.7500 0.0413
Cu2 0.3097 0.2500 0.4348
Cu3 0.3159 0.7500 0.7837
```

Diffraction record for Ca5PrPd6. The powder X-ray diffraction pattern is computed, not measured: it uses a PBE-relaxed structure and Cu Kα, 1.54184 Å.
Lines closer than 0.1° are merged.

Most intense lines, 2θ from 5° to 70°, in order of rising 2θ:
two_theta  intensity  (hkl)
11.80  4  0 2 0
24.83  6  0 0 2
25.15  11  1 3 0
35.63  100  1 3 2
35.79  25  2 0 0
35.93  24  0 6 0
50.93  9  0 0 4
51.62  17  2 6 0
63.81  9  2 0 4
63.90  9  0 6 4
64.21  17  3 3 2
64.39  17  1 9 2

Crystal structure
```
data_Ca5PrPd6
_space_group_name_H-M_alt 'C m m m'
_space_group_IT_number 65
_space_group_name_Hall '-C 2 2'
_cell_length_a 5.0173
_cell_length_b 14.9970
_cell_length_c 7.1720
_cell_angle_alpha 90.00
_cell_angle_beta 90.00
_cell_angle_gamma 90.00
loop_
_atom_site_label
_atom_site_fract_x
_atom_site_fract_y
_atom_site_fract_z
Ca1 0.0000 0.0000 0.0000
Ca2 0.0000 0.3295 0.5000
Ca3 0.0000 0.3335 0.0000
Pr1 0.0000 0.0000 0.5000
Pd1 0.0000 0.1643 0.2494
Pd2 0.0000 0.5000 0.2554
```

Diffraction record for Tl2CuRuO6. The powder X-ray diffraction pattern is computed, not measured: it uses a PBE-relaxed structure and Cu Kα, 1.54184 Å.
Lines closer than 0.1° are merged.

Most intense lines, 2θ from 5° to 70°, in order of rising 2θ:
two_theta  intensity  (hkl)
18.69  13  0 1 2
27.55  24  1 0 7
29.96  78  0 1 8
30.91  100  1 1 0
35.13  11  1 0 10
41.51  9  1 1 9
41.88  18  0 2 7
43.58  33  2 0 8
54.38  31  1 2 8
54.98  20  3 0 0
56.31  12  1 1 15
64.42  17  2 2 0

Crystal structure
```
data_Tl2CuRuO6
_space_group_name_H-M_alt 'R -3 m'
_space_group_IT_number 166
_space_group_name_Hall '-R 3 2"'
_cell_length_a 5.7856
_cell_length_b 5.7856
_cell_length_c 29.6984
_cell_angle_alpha 90.00
_cell_angle_beta 90.00
_cell_angle_gamma 120.00
loop_
_atom_site_label
_atom_site_fract_x
_atom_site_fract_y
_atom_site_fract_z
Tl1 0.0000 0.0000 0.1390
Tl2 0.0000 0.0000 0.2649
Cu1 0.0000 0.0000 0.3680
Ru1 0.0000 0.0000 0.0000
Ru2 0.0000 0.0000 0.5000
O1 0.0169 0.5085 0.1312
O2 0.0282 0.5141 0.7053
```